This entry pairs a crystal structure of Li6CaAg4 with its simulated powder diffraction line list. Radiation: Cu Ka. Structure: a crystal structure in Alexandria, relaxed with PBE.
Peak positions follow from Bragg's law for the DFT cell and can differ from measured ones.

Structural model:
```
data_Li6CaAg4
_cell_length_a 7.5970
_cell_length_b 7.5970
_cell_length_c 4.2693
_cell_angle_alpha 90.00
_cell_angle_beta 90.00
_cell_angle_gamma 120.00
_space_group_name_H-M_alt 'P 1'
_space_group_IT_number 1
loop_
_space_group_symop_operation_xyz
'x,y,z'
loop_
_atom_site_label
_atom_site_type_symbol
_atom_site_fract_x
_atom_site_fract_y
_atom_site_fract_z
Li1 Li 0.2001 0.4001 0.0000
Li2 Li 0.2001 0.7999 0.0000
Li3 Li 0.2587 0.1293 0.5000
Li4 Li 0.5999 0.7999 0.0000
Li5 Li 0.8707 0.1293 0.5000
Li6 Li 0.8707 0.7413 0.5000
Ca1 Ca 0.6667 0.3333 0.0000
Ag1 Ag 0.0000 0.0000 0.0000
Ag2 Ag 0.0747 0.5373 0.5000
Ag3 Ag 0.4627 0.5373 0.5000
Ag4 Ag 0.4627 0.9253 0.5000
```

Top 10 peaks for 2θ = 5–70°, in order of rising 2θ:
2theta, I (rel.)
13.46, 19
24.86, 100
27.11, 84
31.53, 43
34.42, 27
36.12, 29
42.05, 47
46.56, 49
51.00, 28
65.60, 25

=====

This entry pairs a crystal structure of Na22In5O15 with its simulated powder diffraction line list. Radiation: Cu Ka. Structure: a crystal structure in Alexandria, relaxed with PBE.
Peak positions follow from Bragg's law for the DFT cell and can differ from measured ones.

Structural model:
```
data_Na22In5O15
_cell_length_a 9.7380
_cell_length_b 9.7380
_cell_length_c 9.6413
_cell_angle_alpha 109.36
_cell_angle_beta 109.36
_cell_angle_gamma 109.57
_space_group_name_H-M_alt 'P 1'
_space_group_IT_number 1
loop_
_space_group_symop_operation_xyz
'x,y,z'
loop_
_atom_site_label
_atom_site_type_symbol
_atom_site_fract_x
_atom_site_fract_y
_atom_site_fract_z
Na1 Na 0.0000 0.0000 0.0000
Na2 Na 0.1974 0.6493 0.5036
Na3 Na 0.2104 0.9125 0.2242
Na4 Na 0.2202 0.4324 0.2226
Na5 Na 0.4032 0.6388 0.7988
Na6 Na 0.4198 0.9763 0.5740
Na7 Na 0.4324 0.2202 0.2226
Na8 Na 0.4573 0.7588 0.3097
Na9 Na 0.4944 0.9550 0.0664
Na10 Na 0.5017 0.5017 0.5366
Na11 Na 0.6388 0.4032 0.7988
Na12 Na 0.6493 0.1974 0.5036
Na13 Na 0.6645 0.9414 0.8028
Na14 Na 0.7588 0.4573 0.3097
Na15 Na 0.7609 0.7609 0.0432
Na16 Na 0.7659 0.7659 0.5646
Na17 Na 0.7764 0.9930 0.3508
Na18 Na 0.9125 0.2104 0.2242
Na19 Na 0.9414 0.6645 0.8028
Na20 Na 0.9550 0.4944 0.0664
Na21 Na 0.9763 0.4198 0.5740
Na22 Na 0.9930 0.7764 0.3508
In1 In 0.2033 0.2033 0.4848
In2 In 0.2080 0.9198 0.7757
In3 In 0.2192 0.2192 0.7913
In4 In 0.5106 0.5106 0.0774
In5 In 0.9198 0.2080 0.7757
O1 O 0.2083 0.4204 0.4836
O2 O 0.2083 0.7196 0.3081
O3 O 0.2176 0.9435 0.0057
O4 O 0.4042 0.8721 0.7734
O5 O 0.4204 0.2083 0.4836
O6 O 0.5122 0.5122 0.3021
O7 O 0.5420 0.7467 0.1029
O8 O 0.6836 0.9889 0.5725
O9 O 0.7196 0.2083 0.3081
O10 O 0.7273 0.7273 0.7880
O11 O 0.7467 0.5420 0.1029
O12 O 0.8721 0.4042 0.7734
O13 O 0.9435 0.2176 0.0057
O14 O 0.9889 0.6836 0.5725
O15 O 0.9956 0.9956 0.2592
```

Top 10 peaks for 2θ = 5–70°, in order of rising 2θ:
2theta, I (rel.)
11.16, 92
19.35, 100
19.51, 26
27.49, 39
29.73, 29
31.93, 27
33.81, 33
34.05, 29
40.91, 26
45.61, 33

=====

This entry pairs a crystal structure of SiC3N with its simulated powder diffraction line list. Radiation: Cu Ka. Structure: a crystal structure in Alexandria, relaxed with PBE.
Peak positions follow from Bragg's law for the DFT cell and can differ from measured ones.

Structural model:
```
data_SiC3N
_cell_length_a 3.4447
_cell_length_b 3.4447
_cell_length_c 3.4447
_cell_angle_alpha 90.00
_cell_angle_beta 90.00
_cell_angle_gamma 90.00
_space_group_name_H-M_alt 'P 1'
_space_group_IT_number 1
loop_
_space_group_symop_operation_xyz
'x,y,z'
loop_
_atom_site_label
_atom_site_type_symbol
_atom_site_fract_x
_atom_site_fract_y
_atom_site_fract_z
Si1 Si 0.0000 0.0000 0.0000
C1 C 0.0000 0.5000 0.5000
C2 C 0.5000 0.0000 0.5000
C3 C 0.5000 0.5000 0.0000
N1 N 0.5000 0.5000 0.5000
```

Top 6 peaks for 2θ = 5–70°, in order of rising 2θ:
2theta, I (rel.)
25.86, 1
36.90, 100
45.61, 71
53.18, 74
60.06, 4
66.49, 32

=====

This entry pairs a crystal structure of Zn2Sn with its simulated powder diffraction line list. Radiation: Cu Ka. Structure: a crystal structure in Alexandria, relaxed with PBE.
Peak positions follow from Bragg's law for the DFT cell and can differ from measured ones.

Structural model:
```
data_Zn2Sn
_cell_length_a 3.3783
_cell_length_b 4.3719
_cell_length_c 4.5218
_cell_angle_alpha 75.91
_cell_angle_beta 68.94
_cell_angle_gamma 87.35
_space_group_name_H-M_alt 'P 1'
_space_group_IT_number 1
loop_
_space_group_symop_operation_xyz
'x,y,z'
loop_
_atom_site_label
_atom_site_type_symbol
_atom_site_fract_x
_atom_site_fract_y
_atom_site_fract_z
Zn1 Zn 0.1624 0.1263 0.1739
Zn2 Zn 0.8376 0.8737 0.8261
Sn1 Sn 0.5000 0.5000 0.5000
```

Top 10 peaks for 2θ = 5–70°, in order of rising 2θ:
2theta, I (rel.)
33.44, 100
33.96, 94
34.71, 91
42.01, 55
43.05, 46
43.21, 50
44.22, 48
53.20, 23
54.41, 30
55.93, 24

=====

This entry pairs a crystal structure of DyHoTe3 with its simulated powder diffraction line list. Radiation: Cu Ka. Structure: a crystal structure in Alexandria, relaxed with PBE.
Peak positions follow from Bragg's law for the DFT cell and can differ from measured ones.

Structural model:
```
data_DyHoTe3
_cell_length_a 7.3764
_cell_length_b 7.3764
_cell_length_c 10.7490
_cell_angle_alpha 90.00
_cell_angle_beta 90.00
_cell_angle_gamma 146.79
_space_group_name_H-M_alt 'P 1'
_space_group_IT_number 1
loop_
_space_group_symop_operation_xyz
'x,y,z'
loop_
_atom_site_label
_atom_site_type_symbol
_atom_site_fract_x
_atom_site_fract_y
_atom_site_fract_z
Dy1 Dy 0.2465 0.7535 0.7500
Dy2 Dy 0.7535 0.2465 0.2500
Ho1 Ho 0.0000 0.0000 0.0000
Ho2 Ho 0.0000 0.0000 0.5000
Te1 Te 0.0962 0.9038 0.2500
Te2 Te 0.3521 0.6479 0.0675
Te3 Te 0.3521 0.6479 0.4325
Te4 Te 0.6479 0.3521 0.5675
Te5 Te 0.6479 0.3521 0.9325
Te6 Te 0.9038 0.0962 0.7500
```

Top 10 peaks for 2θ = 5–70°, in order of rising 2θ:
2theta, I (rel.)
20.76, 64
27.92, 66
28.40, 71
29.62, 100
33.02, 96
33.40, 89
40.31, 36
41.86, 61
42.90, 44
61.49, 40

=====

This entry pairs a crystal structure of Nd2NiHg with its simulated powder diffraction line list. Radiation: Cu Ka. Structure: a crystal structure in Alexandria, relaxed with PBE.
Peak positions follow from Bragg's law for the DFT cell and can differ from measured ones.

Structural model:
```
data_Nd2NiHg
_cell_length_a 8.0375
_cell_length_b 8.0375
_cell_length_c 8.0375
_cell_angle_alpha 29.55
_cell_angle_beta 29.55
_cell_angle_gamma 29.55
_space_group_name_H-M_alt 'P 1'
_space_group_IT_number 1
loop_
_space_group_symop_operation_xyz
'x,y,z'
loop_
_atom_site_label
_atom_site_type_symbol
_atom_site_fract_x
_atom_site_fract_y
_atom_site_fract_z
Nd1 Nd 0.0000 0.0000 0.0000
Nd2 Nd 0.2004 0.2004 0.2004
Ni1 Ni 0.5986 0.5986 0.5986
Hg1 Hg 0.4337 0.4337 0.4337
```

Top 10 peaks for 2θ = 5–70°, in order of rising 2θ:
2theta, I (rel.)
25.38, 26
26.27, 23
29.56, 52
31.82, 100
35.05, 15
37.25, 27
44.19, 53
47.01, 13
55.47, 21
57.61, 22